# 1
Structure and simulated X-ray diffraction stick pattern of Tm6Ga2Pt (a GGA-PBE-relaxed structure; a wavelength of 1.5418 Å).
Intensities are scaled so that the largest is 100.

Most intense lines, 10° ≤ 2θ ≤ 90°, in order of rising 2θ:
h k l  2θ/deg  I (rel.)
1 2 -2  28.32  39
1 0 2  31.28  42
2 1 -2  31.77  40
2 1 -3  33.70  54
1 3 -1  36.17  100
0 0 4  38.07  31

Cell: 6.010 8.187 10.917 Å, 90.00 120.00 90.00°
Space group P2_1/c (No. 14)
Inequivalent atoms, fractional coordinates:
1 Tm 0.063 0.173 0.441 x4
2 Tm 0.332 0.679 0.441 x4
3 Tm 0.391 0.033 0.270 x4
4 Ga 0.180 0.126 0.752 x4
5 Pt 0.000 0.000 0.000 x2



# 2
Structure and simulated X-ray diffraction stick pattern of TmGa3Pt3 (a GGA-PBE-relaxed structure; a wavelength of 1.5418 Å).
Intensities are scaled so that the largest is 100.

Most intense lines, 10° ≤ 2θ ≤ 90°, in order of rising 2θ:
h k l  2θ/deg  I (rel.)
1 1 3  29.93  90
1 1 6  39.64  100
3 -1 1  40.50  77
3 -2 2  41.43  69
3 -1 4  45.03  40
2 -1 9  52.47  38

Cell: 6.8565 6.8565 18.2300 Å, 90.00 90.00 120.00°
Space group R-3 (No. 148, hexagonal axes)
Inequivalent atoms, fractional coordinates:
1 Tm 0.0000 0.0000 0.1607 x6
2 Ga 0.0254 0.6104 0.3775 x18
3 Pt 0.0093 0.7599 0.5696 x18



# 3
Structure and simulated X-ray diffraction stick pattern of TmGa4Pt6 (a GGA-PBE-relaxed structure; a wavelength of 1.5418 Å).
Intensities are scaled so that the largest is 100.

Most intense lines, 10° ≤ 2θ ≤ 90°, in order of rising 2θ:
h k l  2θ/deg  I (rel.)
1 1 2  27.09  37
2 0 2  36.06  100
1 1 4  36.20  47
0 0 6  41.41  33
2 0 4  43.53  60
2 2 0  47.75  46

Cell: 5.387 5.387 13.083 Å, 90.00 90.00 90.00°
Space group I-42m (No. 121)
Inequivalent atoms, fractional coordinates:
1 Tm 0.000 0.000 0.000 x2
2 Ga 0.193 0.193 0.365 x8
3 Pt 0.000 0.500 0.000 x4
4 Pt 0.228 0.228 0.174 x8



# 4
Structure and simulated X-ray diffraction stick pattern of Tm3GaPt (a GGA-PBE-relaxed structure; a wavelength of 1.5418 Å).
Intensities are scaled so that the largest is 100.

Most intense lines, 10° ≤ 2θ ≤ 90°, in order of rising 2θ:
h k l  2θ/deg  I (rel.)
1 1 0  23.83  34
0 0 3  32.24  32
0 2 2  34.28  18
1 2 1  35.03  100
1 2 2  39.89  17
2 0 0  40.17  30

Cell: 4.489 6.726 8.323 Å, 90.00 90.00 90.00°
Space group Pmmn (No. 59, origin choice 2)
Inequivalent atoms, fractional coordinates:
1 Tm 0.250 0.004 0.173 x4
2 Tm 0.250 0.250 0.556 x2
3 Ga 0.250 0.750 0.663 x2
4 Pt 0.250 0.250 0.897 x2



# 5
Structure and simulated X-ray diffraction stick pattern of Tm3Ga5Pt6 (a GGA-PBE-relaxed structure; a wavelength of 1.5418 Å).
Intensities are scaled so that the largest is 100.

Most intense lines, 10° ≤ 2θ ≤ 90°, in order of rising 2θ:
h k l  2θ/deg  I (rel.)
1 3 2  35.45  100
1 0 3  36.90  27
1 2 3  39.39  34
1 5 0  39.85  40
0 6 0  40.64  29
2 0 0  42.20  48

Cell: 4.283 13.318 8.883 Å, 90.00 90.00 90.00°
Space group Pmmn (No. 59, origin choice 2)
Inequivalent atoms, fractional coordinates:
1 Tm 0.250 0.062 0.246 x4
2 Tm 0.250 0.750 0.227 x2
3 Ga 0.250 0.077 0.883 x4
4 Ga 0.250 0.631 0.518 x4
5 Ga 0.250 0.750 0.769 x2
6 Pt 0.250 0.055 0.602 x4
7 Pt 0.250 0.250 0.017 x2
8 Pt 0.250 0.250 0.436 x2
9 Pt 0.250 0.612 0.972 x4



# 6
Structure and simulated X-ray diffraction stick pattern of Tm2Ga3Pt (a GGA-PBE-relaxed structure; a wavelength of 1.5418 Å).
Intensities are scaled so that the largest is 100.

Most intense lines, 10° ≤ 2θ ≤ 90°, in order of rising 2θ:
h k l  2θ/deg  I (rel.)
2 2 2  34.75  100
0 2 6  40.92  41
0 4 0  41.06  20
4 0 0  52.17  10
2 4 4  54.83  18
4 4 0  68.39  26

Cell: 7.012 8.792 15.296 Å, 90.00 90.00 90.00°
Space group Fmmm (No. 69)
Inequivalent atoms, fractional coordinates:
1 Tm 0.243 0.000 0.000 x8
2 Tm 0.250 0.250 0.250 x8
3 Ga 0.000 0.000 0.334 x8
4 Ga 0.000 0.250 0.083 x16
5 Pt 0.000 0.000 0.168 x8